Entry 1:
Diffraction record for KH. The powder diffractogram is computed, not measured: it uses the PBE geometry in Alexandria and CuKα.
Intensities are scaled so that the largest is 100.

Top 12 peaks for 10° ≤ 2θ ≤ 80°, in order of rising 2θ:
(hkl)	2θ/deg	I_rel
1 1 0	15.06	39.5
2 0 0	21.35	24.5
2 1 1	26.23	100.0
3 1 0	34.07	34.1
2 2 2	37.44	13.6
3 2 1	40.56	8.6
3 3 0	46.29	39.8
4 2 2	53.98	11.0
5 2 1	60.98	16.7
4 3 3	65.39	7.1
6 0 0	67.54	7.8
5 4 1	73.79	7.8

Cell and atoms:
abc: 8.322 8.322 8.322
angles: 90.00 90.00 90.00
Space group I-43m (No. 217)
Asymmetric unit:
K1 0.163 0.163 0.837 x8
H1 0.159 0.159 0.159 x8

---

Entry 2:
Diffraction record for PmSi2Pd2Pt. The powder diffractogram is computed, not measured: it uses the PBE geometry in Alexandria and CuKα.
Intensities are scaled so that the largest is 100.

Top 12 peaks for 10° ≤ 2θ ≤ 80°, in order of rising 2θ:
(hkl)	2θ/deg	I_rel
0 0 2	10.12	8.3
0 0 4	20.32	88.5
1 1 2	32.87	100.0
0 0 8	41.33	12.7
1 1 6	44.33	59.5
2 0 0	44.69	29.3
2 0 4	49.56	33.6
1 1 10	62.20	18.0
2 0 8	62.49	15.0
2 2 0	65.05	9.5
2 2 4	68.93	12.4
3 1 2	74.83	18.5

Cell and atoms:
abc: 4.055 4.055 17.478
angles: 90.00 90.00 90.00
Space group I4/mmm (No. 139)
Asymmetric unit:
Pm1 0.000 0.000 0.000 x2
Si1 0.000 0.000 0.175 x4
Pd1 0.000 0.500 0.250 x4
Pt1 0.000 0.000 0.500 x2

---

Entry 3:
Diffraction record for Na2In5Pd. The powder diffractogram is computed, not measured: it uses the PBE geometry in Alexandria and CuKα.
Intensities are scaled so that the largest is 100.

Top 12 peaks for 10° ≤ 2θ ≤ 80°, in order of rising 2θ:
(hkl)	2θ/deg	I_rel
1 0 0	13.11	31.4
0 0 1	17.18	78.2
1 1 0	18.58	29.2
2 1 0	29.58	47.6
2 0 1	31.67	100.0
0 0 2	34.76	44.5
2 2 0	37.68	58.7
3 0 0	40.06	25.4
2 2 1	41.69	22.7
2 1 2	46.28	27.2
2 2 2	52.20	44.6
3 0 2	54.07	20.7

Cell and atoms:
abc: 6.752 6.752 5.161
angles: 90.00 90.00 90.00
Space group P4/mmm (No. 123)
Asymmetric unit:
Na1 0.000 0.500 0.000 x2
In1 0.000 0.000 0.000 x1
In2 0.281 0.281 0.500 x4
Pd1 0.000 0.000 0.500 x1

---

Entry 4:
Diffraction record for PmSeBr3. The powder diffractogram is computed, not measured: it uses the PBE geometry in Alexandria and CuKα.
Intensities are scaled so that the largest is 100.

Top 12 peaks for 10° ≤ 2θ ≤ 80°, in order of rising 2θ:
(hkl)	2θ/deg	I_rel
0 1 0	10.41	26.6
0 1 1	12.17	100.0
1 0 0	13.09	37.5
1 2 -1	24.54	16.4
1 0 -4	24.95	17.4
2 1 -2	27.80	24.1
1 2 -3	28.87	33.7
2 1 -3	29.64	17.1
1 0 4	31.94	37.6
2 2 -3	34.96	22.1
1 3 -2	35.29	17.8
0 2 5	38.40	18.7

Cell and atoms:
abc: 7.069 8.497 14.676
angles: 90.00 106.85 90.00
Space group P2/c (No. 13)
Asymmetric unit:
Pm1 0.097 0.160 0.118 x4
Se1 0.159 0.382 0.298 x4
Br1 0.200 0.147 0.565 x4
Br2 0.261 0.042 0.315 x4
Br3 0.332 0.367 0.061 x4

---

Entry 5:
Diffraction record for Ac4Pr2Hg3N2. The powder diffractogram is computed, not measured: it uses the PBE geometry in Alexandria and CuKα.
Intensities are scaled so that the largest is 100.

Top 12 peaks for 10° ≤ 2θ ≤ 80°, in order of rising 2θ:
(hkl)	2θ/deg	I_rel
0 0 4	13.91	11.4
1 0 1	17.40	13.4
1 1 2	25.20	34.8
1 1 4	28.01	32.3
1 0 7	29.97	12.3
1 1 6	32.20	100.0
2 0 0	34.48	58.0
0 0 10	35.23	11.7
2 2 0	49.56	25.2
2 0 10	50.12	16.7
2 0 12	55.91	11.7
3 1 6	60.34	34.6

Cell and atoms:
abc: 5.203 5.203 25.471
angles: 90.00 90.00 90.00
Space group I4/mmm (No. 139)
Asymmetric unit:
Ac1 0.000 0.500 0.088 x8
Pr1 0.000 0.000 0.200 x4
Hg1 0.000 0.000 0.325 x4
Hg2 0.000 0.000 0.500 x2
N1 0.000 0.000 0.110 x4

---

Entry 6:
Diffraction record for La2ErMnS5. The powder diffractogram is computed, not measured: it uses the PBE geometry in Alexandria and CuKα.
Intensities are scaled so that the largest is 100.

Top 12 peaks for 10° ≤ 2θ ≤ 80°, in order of rising 2θ:
(hkl)	2θ/deg	I_rel
0 4 0	21.35	15.6
1 1 0	23.00	15.9
0 2 3	24.52	53.1
1 3 0	27.60	29.5
1 3 1	28.59	17.2
1 1 3	32.06	100.0
0 6 1	33.12	32.1
1 5 2	38.27	43.8
1 5 3	41.88	16.3
2 0 0	45.64	21.2
1 1 6	51.06	14.2
1 7 5	59.21	14.5

Cell and atoms:
abc: 3.976 16.649 12.105
angles: 90.00 90.00 90.00
Space group Cmc2_1 (No. 36)
Asymmetric unit:
La1 0.000 0.118 0.000 x4
La2 0.000 0.124 0.645 x4
Er1 0.000 0.188 0.331 x4
Mn1 0.000 0.448 0.740 x4
S1 0.000 0.025 0.336 x4
S2 0.000 0.300 0.985 x4
S3 0.000 0.311 0.673 x4
S4 0.000 0.349 0.323 x4
S5 0.000 0.494 0.068 x4

---

Entry 7:
Diffraction record for K3CeAs2O8. The powder diffractogram is computed, not measured: it uses the PBE geometry in Alexandria and CuKα.
Intensities are scaled so that the largest is 100.

Top 12 peaks for 10° ≤ 2θ ≤ 80°, in order of rising 2θ:
(hkl)	2θ/deg	I_rel
1 0 0	11.42	72.8
1 1 1	20.81	100.0
2 0 -2	28.65	68.0
2 1 1	29.03	73.3
0 2 0	29.70	68.7
0 1 3	30.56	92.8
3 1 -1	38.74	24.8
2 2 -2	41.76	28.8
2 2 2	42.38	15.6
2 3 1	52.31	17.9
0 3 3	53.25	18.2
0 4 0	61.67	16.8

Cell and atoms:
abc: 7.753 6.016 10.049
angles: 90.00 91.70 90.00
Space group P2_1/m (No. 11)
Asymmetric unit:
K1 0.008 0.250 0.194 x2
K2 0.140 0.750 0.414 x2
K3 0.300 0.250 0.913 x2
Ce1 0.490 0.750 0.715 x2
As1 0.260 0.750 0.086 x2
As2 0.311 0.250 0.571 x2
O1 0.043 0.750 0.107 x2
O2 0.204 0.250 0.418 x2
O3 0.258 0.018 0.663 x4
O4 0.314 0.750 0.921 x2
O5 0.349 0.515 0.161 x4
O6 0.473 0.750 0.465 x2

---

Entry 8:
Diffraction record for H10PtC4N2Cl6. The powder diffractogram is computed, not measured: it uses the PBE geometry in Alexandria and CuKα.
Intensities are scaled so that the largest is 100.

Top 12 peaks for 10° ≤ 2θ ≤ 80°, in order of rising 2θ:
(hkl)	2θ/deg	I_rel
1 1 0	12.22	100.0
0 0 1	14.57	67.0
2 0 -1	14.73	38.8
0 2 0	17.17	17.1
2 0 0	17.47	9.1
2 2 -1	22.71	39.3
3 1 0	27.74	14.6
1 3 -1	28.51	11.6
2 2 -2	29.37	18.5
3 3 -2	36.54	17.7
3 3 -3	44.74	14.4
4 0 1	46.16	11.2

Cell and atoms:
abc: 12.569 10.331 7.524
angles: 90.00 126.14 90.00
Space group C2 (No. 5)
Asymmetric unit:
H1 0.125 0.000 0.217 x4
H2 0.173 0.925 0.057 x4
H3 0.191 0.677 0.123 x4
H4 0.205 0.499 0.684 x4
H5 0.244 0.631 0.407 x4
Pt1 0.000 0.356 0.000 x2
C1 0.202 0.943 0.225 x4
C2 0.220 0.707 0.288 x4
N1 0.223 0.824 0.335 x4
Cl1 0.032 0.520 0.816 x4
Cl2 0.036 0.195 0.819 x4
Cl3 0.225 0.355 0.282 x4